No. 1
Diffraction record for Ac2ZnGe. The powder diffractogram is simulated, not measured: it uses a GGA-PBE-relaxed structure and Cu Kα X-rays.
Lines closer than 0.1° are merged.

Peak list (7 most intense, 5 to 70 degrees two-theta, sorted by position)
| 2theta | I_rel |
| --- | --- |
| 22.80 | 29 |
| 32.46 | 100 |
| 40.03 | 10 |
| 46.56 | 19 |
| 52.45 | 14 |
| 57.90 | 39 |
| 67.97 | 12 |

Atomic structure:
Cell: 5.5170 5.5170 5.5170 Å, 60.00 60.00 60.00°
Sites, in units of the cell vectors:
1 Ac 0.2500 0.2500 0.2500
2 Ac 0.7500 0.7500 0.7500
3 Zn 0.0000 0.0000 0.0000
4 Ge 0.5000 0.5000 0.5000



No. 2
Diffraction record for DyMn4Al8. The powder diffractogram is simulated, not measured: it uses a GGA-PBE-relaxed structure and Cu Kα X-rays.
Lines closer than 0.1° are merged.

Peak list (8 most intense, 5 to 70 degrees two-theta, sorted by position)
| 2theta | I_rel |
| --- | --- |
| 14.26 | 54 |
| 19.98 | 53 |
| 28.57 | 67 |
| 28.74 | 40 |
| 35.26 | 49 |
| 40.60 | 100 |
| 40.98 | 80 |
| 41.10 | 71 |

Atomic structure:
Cell: 6.7245 6.7245 6.7245 Å, 98.44 98.44 134.95°
Sites, in units of the cell vectors:
1 Dy 0.0000 0.0000 0.0000
2 Mn 0.0000 0.0000 0.5000
3 Mn 0.0000 0.5000 0.0000
4 Mn 0.5000 0.0000 0.0000
5 Mn 0.5000 0.5000 0.5000
6 Al 0.0000 0.3362 0.3362
7 Al 0.0000 0.6638 0.6638
8 Al 0.2757 0.5000 0.7757
9 Al 0.3362 0.0000 0.3362
10 Al 0.5000 0.2757 0.7757
11 Al 0.5000 0.7243 0.2243
12 Al 0.6638 0.0000 0.6638
13 Al 0.7243 0.5000 0.2243



No. 3
Diffraction record for BaMg6NbO8. The powder diffractogram is simulated, not measured: it uses a GGA-PBE-relaxed structure and Cu Kα X-rays.
Lines closer than 0.1° are merged.

Peak list (8 most intense, 5 to 70 degrees two-theta, sorted by position)
| 2theta | I_rel |
| --- | --- |
| 18.92 | 71 |
| 19.43 | 34 |
| 27.25 | 60 |
| 33.38 | 69 |
| 38.37 | 100 |
| 39.45 | 45 |
| 55.39 | 31 |
| 56.21 | 58 |

Atomic structure:
Cell: 4.6914 4.6914 9.1364 Å, 90.00 90.00 90.00°
Sites, in units of the cell vectors:
1 Ba 0.0000 0.0000 0.0000
2 Mg 0.0000 0.5000 0.2594
3 Mg 0.0000 0.5000 0.7406
4 Mg 0.5000 0.0000 0.2594
5 Mg 0.5000 0.0000 0.7406
6 Mg 0.5000 0.5000 0.0000
7 Mg 0.5000 0.5000 0.5000
8 Nb 0.0000 0.0000 0.5000
9 O 0.0000 0.0000 0.2722
10 O 0.0000 0.0000 0.7278
11 O 0.0000 0.5000 0.0000
12 O 0.0000 0.5000 0.5000
13 O 0.5000 0.0000 0.0000
14 O 0.5000 0.0000 0.5000
15 O 0.5000 0.5000 0.2527
16 O 0.5000 0.5000 0.7473



No. 4
Diffraction record for RbAuF4. The powder diffractogram is simulated, not measured: it uses a GGA-PBE-relaxed structure and Cu Kα X-rays.
Lines closer than 0.1° are merged.

Peak list (8 most intense, 5 to 70 degrees two-theta, sorted by position)
| 2theta | I_rel |
| --- | --- |
| 19.60 | 19 |
| 24.63 | 100 |
| 27.85 | 29 |
| 39.80 | 15 |
| 41.23 | 30 |
| 47.36 | 33 |
| 49.85 | 14 |
| 65.60 | 16 |

Atomic structure:
Cell: 7.5170 7.5170 7.5170 Å, 129.55 129.55 74.12°
Sites, in units of the cell vectors:
1 Rb 0.2500 0.2500 0.0000
2 Rb 0.7500 0.7500 0.0000
3 Au 0.0000 0.5000 0.5000
4 Au 0.5000 0.0000 0.5000
5 F 0.0395 0.5395 0.8092
6 F 0.2303 0.0395 0.5000
7 F 0.2697 0.7697 0.8092
8 F 0.4605 0.2697 0.5000
9 F 0.5395 0.7303 0.5000
10 F 0.7303 0.2303 0.1908
11 F 0.7697 0.9605 0.5000
12 F 0.9605 0.4605 0.1908